1.
This entry pairs a crystal structure of Nd2ZnNi2Pt5 with its calculated X-ray powder pattern. Radiation: Cu Kα, 1.54184 Å. Structure: a GGA-PBE-relaxed structure.
No peak broadening, texture or thermal motion is included.

a b c (Å): 9.333 9.333 3.988
angles (deg): 90.00 90.00 90.00
Space group P4/mbm (No. 127)
Unique sites:
Nd1 0.177 0.323 0.000 x4
Zn1 0.000 0.000 0.000 x2
Ni1 0.122 0.622 0.000 x4
Pt1 0.000 0.500 0.500 x2
Pt2 0.065 0.794 0.500 x8

Main lines, in order of falling intensity (15 to 90 degrees two-theta):
(hkl), d/Å, intensity
3 1 1, 2.372, 100
4 1 0, 2.263, 55
3 2 1, 2.171, 45
0 0 2, 1.994, 34
2 1 1, 2.883, 34
4 1 2, 1.496, 30



2.
This entry pairs a crystal structure of Ce7Bi2Sb2 with its calculated X-ray powder pattern. Radiation: Cu Kα, 1.54184 Å. Structure: a GGA-PBE-relaxed structure.
No peak broadening, texture or thermal motion is included.

a b c (Å): 9.673 11.619 6.622
angles (deg): 90.00 90.00 90.00
Space group Cmmm (No. 65)
Unique sites:
Ce1 0.000 0.000 0.000 x2
Ce2 0.000 0.500 0.292 x4
Ce3 0.250 0.250 0.299 x8
Bi1 0.180 0.000 0.500 x4
Sb1 0.000 0.277 0.000 x4

Main lines, in order of falling intensity (15 to 90 degrees two-theta):
(hkl), d/Å, intensity
2 2 2, 2.473, 100
0 4 0, 2.905, 81
2 0 1, 3.906, 76
3 1 1, 2.813, 39
1 1 2, 3.025, 39
3 3 1, 2.321, 38



3.
This entry pairs a crystal structure of Ag5AsSe6 with its calculated X-ray powder pattern. Radiation: Cu Kα, 1.54184 Å. Structure: a GGA-PBE-relaxed structure.
No peak broadening, texture or thermal motion is included.

a b c (Å): 6.918 11.675 6.841
angles (deg): 90.00 110.82 90.00
Space group C2/m (No. 12)
Unique sites:
Ag1 0.000 0.000 0.000 x2
Ag2 0.000 0.172 0.500 x4
Ag3 0.000 0.341 0.000 x4
As1 0.000 0.500 0.500 x2
Se1 0.225 0.338 0.761 x8
Se2 0.236 0.000 0.715 x4

Main lines, in order of falling intensity (15 to 90 degrees two-theta):
(hkl), d/Å, intensity
1 3 1, 2.757, 100
2 0 -2, 2.831, 52
3 3 -1, 1.983, 35
1 3 -3, 1.967, 34
0 6 0, 1.946, 17
2 0 2, 1.953, 17



4.
This entry pairs a crystal structure of Ce2Be3ZnGe4 with its calculated X-ray powder pattern. Radiation: Cu Kα, 1.54184 Å. Structure: a GGA-PBE-relaxed structure.
No peak broadening, texture or thermal motion is included.

a b c (Å): 4.206 4.206 9.560
angles (deg): 90.00 90.00 90.00
Space group P-4m2 (No. 115)
Unique sites:
Ce1 0.000 0.500 0.243 x2
Be1 0.000 0.500 0.881 x2
Be2 0.500 0.500 0.500 x1
Zn1 0.000 0.000 0.500 x1
Ge1 0.000 0.000 0.000 x1
Ge2 0.000 0.500 0.642 x2
Ge3 0.500 0.500 0.000 x1

Main lines, in order of falling intensity (15 to 90 degrees two-theta):
(hkl), d/Å, intensity
1 1 2, 2.525, 100
2 0 0, 2.103, 45
1 0 3, 2.540, 45
1 0 1, 3.850, 28
3 1 2, 1.281, 23
2 1 3, 1.620, 23